[1]
The following is a calculated X-ray diffraction stick pattern of Li4Ni3SbO8. It was derived from DFT lattice parameters and positions (GGA+U), using Cu Kα, 1.54184 Å.
Neutral-atom scattering factors, no anomalous dispersion.

Structural model:
```
Li4Ni3SbO8
1.0
5.9716 0.0000 0.0000
0.0000 5.9989 0.0000
-0.0110 -0.0038 8.4334
Li Ni Sb O
8 6 2 16
direct
0.0000 0.0000 0.0000 Li
0.9998 0.4978 0.0001 Li
0.2497 0.2508 0.7496 Li
0.2500 0.7510 0.7496 Li
0.4997 0.5022 0.4989 Li
0.5005 0.0041 0.4986 Li
0.7498 0.7510 0.2496 Li
0.7506 0.2505 0.2496 Li
0.9999 0.9997 0.4996 Ni
0.2499 0.2513 0.2497 Ni
0.2497 0.7513 0.2497 Ni
0.5000 0.5027 0.9999 Ni
0.7497 0.2513 0.7496 Ni
0.7497 0.7511 0.7497 Ni
0.9999 0.4987 0.4997 Sb
0.4999 0.0037 0.9997 Sb
0.9995 0.5010 0.2609 O
0.0271 0.9839 0.2564 O
0.2367 0.2602 0.5008 O
0.2380 0.7396 0.4900 O
0.2618 0.7627 0.0094 O
0.2630 0.2421 0.9985 O
0.4726 0.5190 0.2430 O
0.4999 0.0014 0.2387 O
0.5003 0.0010 0.7606 O
0.5289 0.5190 0.7563 O
0.7366 0.2427 0.0001 O
0.7381 0.7630 0.9895 O
0.7617 0.7393 0.5098 O
0.7631 0.2596 0.4992 O
0.9704 0.9838 0.7431 O
0.9992 0.5015 0.7387 O
```

Peak list (10 most intense, 2θ = 10–80°, by angle)
Position (°2θ)  d (Å)  Rel. int.
18.2  4.872  1000
35.1  2.555  322
35.3  2.545  168
36.8  2.444  133
36.9  2.437  134
42.7  2.116  420
42.9  2.108  209
46.9  1.939  173
56.6  1.627  94
62.2  1.493  298

[2]
The following is a calculated X-ray diffraction stick pattern of K2Mo2O15. It was derived from DFT lattice parameters and positions (GGA+U), using Cu Kα, 1.54184 Å.
Neutral-atom scattering factors, no anomalous dispersion.

Structural model:
```
K2Mo2O15
1.0
6.5103 0.0000 0.0000
-3.1628 9.2526 0.0000
-2.9767 -2.3145 13.0536
K Mo O
4 4 30
direct
0.0429 0.2879 0.3689 K
0.3085 0.7358 0.9789 K
0.6915 0.2642 0.0211 K
0.9571 0.7121 0.6311 K
0.0858 0.1309 0.8261 Mo
0.4401 0.4603 0.7564 Mo
0.5599 0.5397 0.2436 Mo
0.9142 0.8691 0.1739 Mo
0.0348 0.0198 0.2745 O
0.0373 0.7059 0.1683 O
0.1566 0.4532 0.5673 O
0.1684 0.8363 0.1331 O
0.1766 0.3510 0.6232 O
0.1845 0.3769 0.0874 O
0.2343 0.0864 0.9351 O
0.3242 0.5149 0.1024 O
0.3255 0.5869 0.7971 O
0.3363 0.2645 0.7865 O
0.3616 0.4843 0.3141 O
0.3866 0.8733 0.7987 O
0.4006 0.8545 0.5552 O
0.4394 0.9886 0.7632 O
0.4889 0.2112 0.4774 O
0.5111 0.7888 0.5226 O
0.5606 0.0114 0.2368 O
0.5994 0.1455 0.4448 O
0.6134 0.1267 0.2013 O
0.6384 0.5157 0.6859 O
0.6637 0.7355 0.2135 O
0.6745 0.4131 0.2029 O
0.6758 0.4851 0.8976 O
0.7657 0.9136 0.0649 O
0.8155 0.6231 0.9126 O
0.8234 0.6490 0.3768 O
0.8316 0.1637 0.8669 O
0.8434 0.5468 0.4327 O
0.9627 0.2941 0.8317 O
0.9652 0.9802 0.7255 O
```

Peak list (10 most intense, 2θ = 10–80°, by angle)
Position (°2θ)  d (Å)  Rel. int.
12.8  6.925  516
13.6  6.527  882
14.6  6.048  1000
18.0  4.925  728
18.4  4.818  501
21.3  4.174  792
21.5  4.134  710
21.8  4.085  943
23.9  3.726  426
34.7  2.587  434

[3]
The following is a calculated X-ray diffraction stick pattern of BaCrF6. It was derived from DFT lattice parameters and positions (GGA+U), using Cu Kα, 1.54184 Å.
Neutral-atom scattering factors, no anomalous dispersion.

Structural model:
```
BaCrF6
1.0
3.7545 2.1676 2.4240
-3.7545 2.1676 2.4240
0.0000 -4.3353 2.4240
Ba Cr F
1 1 6
direct
0.0000 0.0000 0.0000 Ba
0.5000 0.5000 0.5000 Cr
0.2314 0.2314 0.5771 F
0.2314 0.5771 0.2314 F
0.4229 0.7686 0.7686 F
0.5771 0.2314 0.2314 F
0.7686 0.4229 0.7686 F
0.7686 0.7686 0.4229 F
```

Peak list (10 most intense, 2θ = 10–80°, by angle)
Position (°2θ)  d (Å)  Rel. int.
18.3  4.847  128
23.7  3.754  1000
28.1  3.174  614
37.1  2.424  278
38.7  2.328  359
44.5  2.036  742
48.5  1.877  163
62.6  1.484  133
63.7  1.462  226
65.8  1.419  130

[4]
The following is a calculated X-ray diffraction stick pattern of LiFe2OF3. It was derived from DFT lattice parameters and positions (GGA+U), using Cu Kα, 1.54184 Å.
Neutral-atom scattering factors, no anomalous dispersion.

Structural model:
```
LiFe2OF3
1.0
5.2027 0.0000 0.0000
0.0177 6.1131 0.0000
0.0011 3.0294 5.3321
Li Fe O F
2 4 2 6
direct
0.0266 0.1648 0.1694 Li
0.9734 0.8352 0.8306 Li
0.0000 0.5000 0.5000 Fe
0.5000 0.0000 0.0000 Fe
0.5000 0.0000 0.5000 Fe
0.5000 0.5000 0.0000 Fe
0.3365 0.8343 0.8300 O
0.6635 0.1657 0.1700 O
0.2153 0.3345 0.3293 F
0.2179 0.3255 0.8498 F
0.2180 0.8426 0.3265 F
0.7820 0.1574 0.6735 F
0.7821 0.6745 0.1502 F
0.7847 0.6655 0.6707 F
```

Peak list (10 most intense, 2θ = 10–80°, by angle)
Position (°2θ)  d (Å)  Rel. int.
17.0  5.203  300
23.9  3.720  1000
24.0  3.707  245
33.6  2.666  129
33.7  2.656  180
33.9  2.645  289
37.9  2.374  231
38.1  2.362  456
48.9  1.862  437
49.1  1.855  417

[5]
The following is a calculated X-ray diffraction stick pattern of La6Mn5O18. It was derived from DFT lattice parameters and positions (GGA+U), using Cu Kα, 1.54184 Å.
Neutral-atom scattering factors, no anomalous dispersion.

Structural model:
```
La6Mn5O18
1.0
7.8691 0.0000 0.0000
3.7289 8.6753 0.0000
0.0038 3.6514 10.6059
La Mn O
12 10 36
direct
0.0748 0.3058 0.4216 La
0.1010 0.3155 0.9223 La
0.2445 0.0030 0.7513 La
0.2556 0.9969 0.2526 La
0.4009 0.6835 0.5803 La
0.4231 0.6937 0.0753 La
0.5769 0.3063 0.9247 La
0.5991 0.3165 0.4197 La
0.7444 0.0031 0.7474 La
0.7555 0.9970 0.2487 La
0.8990 0.6845 0.0777 La
0.9252 0.6942 0.5784 La
0.0000 0.0000 0.0000 Mn
0.1689 0.6630 0.8377 Mn
0.1699 0.6611 0.3326 Mn
0.3302 0.3407 0.1680 Mn
0.3312 0.3355 0.6642 Mn
0.5000 0.0000 0.5000 Mn
0.6688 0.6645 0.3358 Mn
0.6698 0.6593 0.8320 Mn
0.8301 0.3389 0.6674 Mn
0.8311 0.3370 0.1623 Mn
0.0364 0.8549 0.8958 O
0.0525 0.8420 0.3857 O
0.0796 0.3369 0.6994 O
0.0836 0.3329 0.2001 O
0.1302 0.8024 0.6727 O
0.1331 0.8071 0.1567 O
0.1974 0.5290 0.0154 O
0.2080 0.5294 0.5153 O
0.2318 0.0049 0.9653 O
0.2692 0.9937 0.4668 O
0.2904 0.4732 0.7785 O
0.3035 0.4707 0.2799 O
0.3656 0.1897 0.5603 O
0.3714 0.2007 0.0731 O
0.4177 0.6624 0.8684 O
0.4185 0.6668 0.3662 O
0.4469 0.1564 0.8088 O
0.4638 0.1468 0.3222 O
0.5362 0.8532 0.6778 O
0.5531 0.8436 0.1912 O
0.5815 0.3332 0.6338 O
0.5823 0.3376 0.1316 O
0.6286 0.7993 0.9269 O
0.6344 0.8103 0.4397 O
0.6965 0.5293 0.7201 O
0.7096 0.5268 0.2215 O
0.7308 0.0063 0.5332 O
0.7682 0.9951 0.0347 O
0.7920 0.4706 0.4847 O
0.8026 0.4710 0.9846 O
0.8669 0.1929 0.8433 O
0.8698 0.1976 0.3273 O
0.9164 0.6671 0.7999 O
0.9204 0.6631 0.3006 O
0.9475 0.1580 0.6143 O
0.9636 0.1451 0.1042 O
```

Peak list (10 most intense, 2θ = 10–80°, by angle)
Position (°2θ)  d (Å)  Rel. int.
22.6  3.927  308
31.9  2.802  1000
32.5  2.752  320
32.6  2.748  318
32.8  2.734  314
39.5  2.283  219
46.2  1.967  198
46.3  1.960  192
46.4  1.955  191
57.2  1.610  196

[6]
The following is a calculated X-ray diffraction stick pattern of Li4FeB2O6. It was derived from DFT lattice parameters and positions (GGA+U), using Cu Kα, 1.54184 Å.
Neutral-atom scattering factors, no anomalous dispersion.

Structural model:
```
Li4FeB2O6
1.0
3.3641 0.0000 0.0000
-0.0117 7.8431 0.0000
-0.0002 -0.0073 9.3101
Li Fe B O
8 2 4 12
direct
0.0001 0.0084 0.3005 Li
0.0001 0.3244 0.9460 Li
0.9999 0.6756 0.0540 Li
0.9999 0.9916 0.6995 Li
0.5002 0.1756 0.4461 Li
0.4999 0.4915 0.8005 Li
0.5001 0.5085 0.1995 Li
0.4998 0.8244 0.5539 Li
0.0000 0.5000 0.5000 Fe
0.5000 0.0000 0.0000 Fe
0.0002 0.2702 0.2016 B
0.9998 0.7298 0.7984 B
0.4994 0.7701 0.2984 B
0.5006 0.2299 0.7016 B
0.0003 0.1204 0.1157 O
0.9997 0.4258 0.1358 O
0.0003 0.5742 0.8642 O
0.9997 0.8796 0.8843 O
0.0008 0.2570 0.3511 O
0.4984 0.6206 0.3843 O
0.4999 0.0741 0.6358 O
0.5001 0.2433 0.8511 O
0.4999 0.7567 0.1489 O
0.5001 0.9259 0.3642 O
0.5016 0.3794 0.6157 O
0.9992 0.7430 0.6489 O
```

Peak list (10 most intense, 2θ = 10–80°, by angle)
Position (°2θ)  d (Å)  Rel. int.
14.8  5.998  1000
28.9  3.092  317
29.8  2.999  336
30.5  2.934  651
31.0  2.886  389
34.8  2.575  367
39.5  2.280  380
45.3  2.000  254
46.0  1.972  324
55.1  1.667  260